Record 1
Calculated powder X-ray diffraction pattern
Compound: LiCa7Ge3H3
Radiation: Cu Kα
Structure: a crystal structure in Alexandria, relaxed with PBE
Intensities are scaled so that the largest is 100.

Most intense lines, 10° ≤ 2θ ≤ 90°, most intense first:
33.37°, rel. 100, (2 4 1); 33.65°, rel. 75, (2 3 2); 35.77°, rel. 73, (2 0 3); 36.44°, rel. 57, (4 0 0); 35.12°, rel. 50, (3 3 1); 24.43°, rel. 46, (2 2 1); 34.39°, rel. 39, (1 4 2); 37.43°, rel. 38, (2 5 0); 29.64°, rel. 35, (1 3 2); 32.00°, rel. 33, (1 0 3)

Cell and atoms:
```
data_LiCa7Ge3H3
_chemical_formula_sum 'Li4 Ca28 Ge12 H12'
_symmetry_space_group_name_H-M 'P n m a'
_symmetry_Int_Tables_number 62
_cell_length_a 9.862
_cell_length_b 13.756
_cell_length_c 8.750
_cell_angle_alpha 90.00
_cell_angle_beta 90.00
_cell_angle_gamma 90.00
loop_
_symmetry_equiv_pos_as_xyz
'x,y,z'
'-x,-y,-z'
'-x+1/2,-y,z+1/2'
'x+1/2,y,-z+1/2'
'x+1/2,-y+1/2,-z+1/2'
'-x+1/2,y+1/2,z+1/2'
'-x,y+1/2,-z'
'x,-y+1/2,z'
loop_
_atom_site_label
_atom_site_type_symbol
_atom_site_fract_x
_atom_site_fract_y
_atom_site_fract_z
Li1 Li 0.136 0.250 0.245
Ca1 Ca 0.090 0.110 0.945
Ca2 Ca 0.113 0.611 0.670
Ca3 Ca 0.116 0.750 0.306
Ca4 Ca 0.185 0.119 0.546
Ge1 Ge 0.106 0.750 0.925
Ge2 Ge 0.131 0.525 0.289
H1 H 0.024 0.250 0.459
H2 H 0.134 0.250 0.748
H3 H 0.248 0.250 0.042
```



Record 2
Calculated powder X-ray diffraction pattern
Compound: Tc2Ir5Ru5
Radiation: Cu Kα
Structure: a crystal structure in Alexandria, relaxed with PBE
Intensities are scaled so that the largest is 100.

Most intense lines, 10° ≤ 2θ ≤ 90°, most intense first:
40.59°, rel. 100, (2 -1 1); 47.20°, rel. 43, (1 1 2); 40.66°, rel. 33, (0 0 4); 68.98°, rel. 28, (3 0 -1); 83.27°, rel. 25, (3 0 -5); 47.31°, rel. 21, (1 -2 3); 69.14°, rel. 14, (2 -1 5); 83.14°, rel. 13, (-3 3 4); 83.38°, rel. 8, (3 -3 4); 87.88°, rel. 7, (4 -2 2)

Cell and atoms:
```
data_Tc2Ir5Ru5
_chemical_formula_sum 'Tc2 Ir5 Ru5'
_symmetry_space_group_name_H-M 'P -1'
_symmetry_Int_Tables_number 2
_cell_length_a 4.715
_cell_length_b 4.716
_cell_length_c 9.010
_cell_angle_alpha 94.84
_cell_angle_beta 95.07
_cell_angle_gamma 119.95
loop_
_symmetry_equiv_pos_as_xyz
'x,y,z'
'-x,-y,-z'
loop_
_atom_site_label
_atom_site_type_symbol
_atom_site_fract_x
_atom_site_fract_y
_atom_site_fract_z
Tc1 Tc 0.084 0.418 0.250
Ir1 Ir 0.000 0.000 0.000
Ir2 Ir 0.162 0.830 0.499
Ir3 Ir 0.417 0.084 0.249
Ru1 Ru 0.251 0.253 0.752
Ru2 Ru 0.331 0.663 0.998
Ru3 Ru 0.500 0.500 0.500
```



Record 3
Calculated powder X-ray diffraction pattern
Compound: PuTcPd
Radiation: Cu Kα
Structure: a crystal structure in Alexandria, relaxed with PBE
Intensities are scaled so that the largest is 100.

Most intense lines, 10° ≤ 2θ ≤ 90°, most intense first:
40.89°, rel. 100, (3 1 1); 41.02°, rel. 54, (3 0 2); 37.20°, rel. 45, (6 0 0); 36.21°, rel. 41, (0 1 1); 52.89°, rel. 28, (6 1 1); 69.60°, rel. 27, (9 0 2); 18.35°, rel. 23, (3 0 0); 79.84°, rel. 16, (3 2 2); 77.63°, rel. 16, (6 1 3); 36.76°, rel. 13, (1 1 1)

Cell and atoms:
```
data_PuTcPd
_chemical_formula_sum 'Pu4 Tc4 Pd4'
_symmetry_space_group_name_H-M 'A m m 2'
_symmetry_Int_Tables_number 38
_cell_length_a 14.503
_cell_length_b 2.868
_cell_length_c 4.941
_cell_angle_alpha 90.00
_cell_angle_beta 90.00
_cell_angle_gamma 90.00
loop_
_symmetry_equiv_pos_as_xyz
'x,y,z'
'-x,-y,z'
'-x,y,z'
'x,-y,z'
'x,y+1/2,z+1/2'
'-x,-y+1/2,z+1/2'
'-x,y+1/2,z+1/2'
'x,-y+1/2,z+1/2'
loop_
_atom_site_label
_atom_site_type_symbol
_atom_site_fract_x
_atom_site_fract_y
_atom_site_fract_z
Pu1 Pu 0.170 0.000 0.000
Tc1 Tc 0.000 0.000 0.786
Tc2 Tc 0.500 0.000 0.986
Pd1 Pd 0.350 0.000 0.651
```